(1)
The following is a simulated powder XRD pattern of NaTbGe2Br8. It was derived from a cell relaxed with GGA-PBE, using Cu Kα.
Neutral-atom scattering factors, no anomalous dispersion.

```
NaTbGe2Br8
1.0
6.618 0.000 0.000
0.257 7.027 0.000
0.123 0.219 8.556
Na Tb Ge Br
1 1 2 8
Direct
0.000 0.000 0.000
0.000 0.000 0.500
0.474 0.473 0.241
0.526 0.527 0.759
0.228 0.824 0.261
0.248 0.324 0.480
0.251 0.848 0.741
0.276 0.348 0.017
0.724 0.652 0.983
0.749 0.152 0.259
0.752 0.676 0.520
0.772 0.176 0.739
```

Main lines, in order of rising 2θ (2θ from 10° to 90°):
two_theta	I (rel.)
18.1	57
18.8	55
27.3	44
28.0	100
28.2	55
28.3	60
35.9	55
36.7	67
42.3	47
43.6	44

=====

(2)
The following is a simulated powder XRD pattern of NaTlGeBr4. It was derived from a cell relaxed with GGA-PBE, using Cu Kα.
Neutral-atom scattering factors, no anomalous dispersion.

```
NaTlGeBr4
1.0
8.466 0.000 0.000
0.000 7.321 0.000
-3.146 0.000 8.671
Na Tl Ge Br
2 2 2 8
Direct
0.121 0.250 0.426
0.879 0.750 0.574
0.195 0.750 0.036
0.805 0.250 0.964
0.405 0.750 0.701
0.595 0.250 0.299
0.175 0.250 0.134
0.193 0.001 0.704
0.193 0.499 0.704
0.366 0.750 0.422
0.634 0.250 0.578
0.807 0.501 0.296
0.807 0.999 0.296
0.825 0.750 0.866
```

Main lines, in order of rising 2θ (2θ from 10° to 90°):
two_theta	I (rel.)
16.5	82
19.7	39
22.3	49
24.4	41
27.3	100
29.0	39
31.6	45
32.0	38
37.2	54
40.4	46

=====

(3)
The following is a simulated powder XRD pattern of Nd8GeOs3Br4. It was derived from a cell relaxed with GGA-PBE, using Cu Kα.
Neutral-atom scattering factors, no anomalous dispersion.

```
Nd8GeOs3Br4
1.0
7.278 -4.203 0.000
7.278 4.203 0.000
-4.857 0.000 7.716
Nd Ge Os Br
8 1 3 4
Direct
0.218 0.739 0.695
0.235 0.235 0.704
0.261 0.261 0.305
0.261 0.782 0.305
0.739 0.218 0.695
0.739 0.739 0.695
0.765 0.765 0.296
0.782 0.261 0.305
0.500 0.500 0.500
0.000 0.000 0.500
0.000 0.500 0.500
0.500 0.000 0.500
0.000 0.000 0.000
0.000 0.500 0.000
0.500 0.000 0.000
0.500 0.500 0.000
```

Main lines, in order of rising 2θ (2θ from 10° to 90°):
two_theta	I (rel.)
11.5	32
29.0	100
36.7	16
39.8	30
43.0	38
50.1	11
52.7	19
60.1	9
70.3	15
76.7	9

=====

(4)
The following is a simulated powder XRD pattern of RbNdGe2Br8. It was derived from a cell relaxed with GGA-PBE, using Cu Kα.
Neutral-atom scattering factors, no anomalous dispersion.

```
RbNdGe2Br8
1.0
6.760 0.000 0.000
-0.699 7.353 0.000
-0.044 -0.523 9.884
Rb Nd Ge Br
1 1 2 8
Direct
0.000 0.000 0.000
0.000 0.000 0.500
0.446 0.552 0.280
0.554 0.448 0.720
0.229 0.184 0.295
0.235 0.680 0.475
0.260 0.628 0.082
0.272 0.141 0.719
0.728 0.859 0.281
0.740 0.372 0.918
0.765 0.320 0.525
0.771 0.816 0.705
```

Main lines, in order of rising 2θ (2θ from 10° to 90°):
two_theta	I (rel.)
17.0	38
18.7	33
19.5	23
22.2	33
25.5	30
26.5	100
33.3	40
34.9	32
35.9	22
40.2	22

=====

(5)
The following is a simulated powder XRD pattern of NdTlGe2Br8. It was derived from a cell relaxed with GGA-PBE, using Cu Kα.
Neutral-atom scattering factors, no anomalous dispersion.

```
NdTlGe2Br8
1.0
6.751 0.000 0.000
0.469 7.278 0.000
0.362 0.631 9.289
Nd Tl Ge Br
1 1 2 8
Direct
0.000 0.000 0.000
0.000 0.000 0.500
0.459 0.459 0.752
0.541 0.541 0.248
0.236 0.818 0.781
0.244 0.326 0.970
0.266 0.852 0.224
0.270 0.361 0.552
0.730 0.639 0.448
0.734 0.148 0.776
0.756 0.674 0.030
0.764 0.182 0.219
```

Main lines, in order of rising 2θ (2θ from 10° to 90°):
two_theta	I (rel.)
17.4	100
18.5	87
23.6	52
26.5	75
27.0	92
27.2	93
33.5	53
35.8	84
38.8	53
40.9	47

=====

(6)
The following is a simulated powder XRD pattern of NiGeBr. It was derived from a cell relaxed with GGA-PBE, using Cu Kα.
Neutral-atom scattering factors, no anomalous dispersion.

```
NiGeBr
1.0
6.651 0.000 0.000
0.000 3.877 0.000
-2.156 0.000 10.559
Ni Ge Br
4 4 4
Direct
0.000 0.000 0.000
0.122 0.500 0.849
0.500 0.500 0.000
0.622 0.000 0.849
0.321 0.000 0.957
0.422 0.500 0.742
0.821 0.500 0.957
0.922 0.000 0.742
0.074 0.000 0.212
0.346 0.500 0.522
0.574 0.500 0.212
0.846 0.000 0.522
```

Main lines, in order of rising 2θ (2θ from 10° to 90°):
two_theta	I (rel.)
26.8	78
27.0	35
28.9	84
29.2	46
34.0	41
46.0	81
46.3	38
46.9	51
47.2	100
68.0	36

=====

(7)
The following is a simulated powder XRD pattern of Pm4NiGeBr2. It was derived from a cell relaxed with GGA-PBE, using Cu Kα.
Neutral-atom scattering factors, no anomalous dispersion.

```
Pm4NiGeBr2
1.0
7.476 0.000 0.000
0.000 4.076 0.000
-2.285 0.000 7.351
Pm Ni Ge Br
4 1 1 2
Direct
0.213 0.000 0.196
0.256 0.500 0.786
0.744 0.500 0.214
0.787 0.000 0.804
0.000 0.500 0.000
0.500 0.000 0.000
0.000 0.000 0.500
0.500 0.500 0.500
```

Main lines, in order of rising 2θ (2θ from 10° to 90°):
two_theta	I (rel.)
26.3	14
29.2	55
29.6	100
37.8	13
40.1	15
41.6	31
42.5	40
44.5	19
51.2	13
54.1	20

=====

(8)
The following is a simulated powder XRD pattern of GeBrO. It was derived from a cell relaxed with GGA-PBE, using Cu Kα.
Neutral-atom scattering factors, no anomalous dispersion.

```
GeBrO
1.0
13.385 0.000 0.000
0.000 5.625 0.000
-1.485 0.000 5.741
Ge Br O
4 4 4
Direct
0.000 0.000 0.000
0.090 0.500 0.249
0.500 0.500 0.000
0.590 0.000 0.249
0.153 0.000 0.874
0.360 0.500 0.679
0.653 0.500 0.874
0.860 0.000 0.679
0.496 0.239 0.159
0.496 0.761 0.159
0.996 0.261 0.159
0.996 0.739 0.159
```

Main lines, in order of rising 2θ (2θ from 10° to 90°):
two_theta	I (rel.)
13.7	41
15.4	33
17.2	46
17.9	44
22.0	100
23.1	29
24.3	28
31.8	30
33.0	25
37.3	35